Structure and theoretical XRD peak list of Nd2DyCu4Si4 (a crystal structure in OQMD, relaxed with PBE; Cu Kα X-rays).

Peak list (12 most intense, 2θ from 10° to 80°, low angle first)
| 2θ (°) | Rel. int. |
| --- | --- |
| 24.4 | 29.7 |
| 28.7 | 11.5 |
| 34.2 | 45.2 |
| 34.4 | 100.0 |
| 40.5 | 15.8 |
| 44.2 | 20.8 |
| 44.3 | 20.6 |
| 47.4 | 16.6 |
| 57.1 | 20.4 |
| 64.4 | 13.1 |
| 66.9 | 11.5 |
| 75.0 | 13.9 |

Structural model:
```
Nd2DyCu4Si4
1.0
-2.0436 2.0492 11.9377
2.0436 -2.0492 11.9377
2.0436 2.0492 -11.9377
Nd Dy Cu Si
2 1 4 4
Direct
0.1488 0.1488 0.0000
0.8512 0.8512 0.0000
0.5000 0.0000 0.5000
0.2501 0.7501 0.5000
0.4049 0.4049 0.0000
0.5951 0.5951 0.0000
0.7499 0.2499 0.5000
0.0493 0.5493 0.5000
0.3052 0.3052 0.0000
0.6948 0.6948 0.0000
0.9507 0.4507 0.5000
```

***

Structure and theoretical XRD peak list of KZrP2SeS6 (a crystal structure in OQMD, relaxed with PBE; Cu Kα X-rays).

Peak list (12 most intense, 2θ from 10° to 80°, low angle first)
| 2θ (°) | Rel. int. |
| --- | --- |
| 13.7 | 100.0 |
| 18.1 | 25.9 |
| 22.7 | 36.0 |
| 27.0 | 62.2 |
| 31.2 | 39.3 |
| 31.9 | 63.5 |
| 33.1 | 19.0 |
| 36.3 | 17.9 |
| 43.2 | 14.9 |
| 44.6 | 19.3 |
| 45.5 | 23.4 |
| 45.9 | 14.4 |

Structural model:
```
KZrP2SeS6
1.0
4.5371 -4.9094 0.0000
4.5371 4.9094 0.0000
-1.1076 0.0000 6.4869
K Zr P Se S
1 1 2 1 6
Direct
0.0000 0.0000 0.0000
0.6228 0.3772 0.5000
0.0693 0.5316 0.4075
0.4684 0.9307 0.5925
0.1165 0.8835 0.5000
0.0007 0.4136 0.6674
0.3060 0.4317 0.2579
0.5180 0.1900 0.7989
0.5683 0.6940 0.7421
0.5864 0.9993 0.3326
0.8100 0.4820 0.2011
```

***

Structure and theoretical XRD peak list of MgSbPdPt4 (a crystal structure in OQMD, relaxed with PBE; Cu Kα X-rays).

Peak list (12 most intense, 2θ from 10° to 80°, low angle first)
| 2θ (°) | Rel. int. |
| --- | --- |
| 22.3 | 9.1 |
| 23.3 | 24.0 |
| 31.7 | 23.1 |
| 32.5 | 7.0 |
| 39.7 | 100.0 |
| 45.5 | 34.6 |
| 47.7 | 14.3 |
| 51.7 | 12.0 |
| 58.4 | 7.8 |
| 66.3 | 11.3 |
| 68.0 | 19.9 |
| 71.3 | 4.7 |

Structural model:
```
MgSbPdPt4
1.0
3.9898 0.0000 0.0000
0.0000 3.9898 0.0000
0.0000 0.0000 7.6250
Mg Sb Pd Pt
1 1 1 4
Direct
0.0000 0.0000 0.0000
0.5000 0.5000 0.5000
0.5000 0.5000 0.0000
0.0000 0.5000 0.2600
0.0000 0.5000 0.7400
0.5000 0.0000 0.2600
0.5000 0.0000 0.7400
```

***

Structure and theoretical XRD peak list of FeH12C8N6Cl4 (a crystal structure in OQMD, relaxed with PBE; Cu Kα X-rays).

Peak list (12 most intense, 2θ from 10° to 80°, low angle first)
| 2θ (°) | Rel. int. |
| --- | --- |
| 14.2 | 42.4 |
| 14.3 | 15.4 |
| 14.4 | 32.3 |
| 14.6 | 100.0 |
| 16.4 | 28.7 |
| 24.5 | 37.4 |
| 28.6 | 29.5 |
| 30.3 | 57.9 |
| 30.7 | 18.8 |
| 34.9 | 25.1 |
| 37.3 | 14.0 |
| 37.9 | 30.5 |

Structural model:
```
FeH12C8N6Cl4
1.0
7.1479 0.0000 0.0000
-0.9473 7.1471 0.0000
-2.8424 -3.6661 6.2047
Fe H C N Cl
1 12 8 6 4
Direct
0.0000 0.0000 0.0000
0.0760 0.7492 0.3031
0.0853 0.3267 0.4412
0.1907 0.9158 0.5854
0.2739 0.5522 0.1557
0.4050 0.5215 0.8097
0.4478 0.0207 0.1738
0.5522 0.9793 0.8262
0.5950 0.4785 0.1903
0.7261 0.4478 0.8443
0.8093 0.0842 0.4146
0.9147 0.6733 0.5588
0.9240 0.2508 0.6969
0.2354 0.2976 0.4658
0.3839 0.7703 0.4792
0.4080 0.4036 0.6663
0.4352 0.1294 0.3146
0.5648 0.8706 0.6854
0.5920 0.5964 0.3337
0.6161 0.2297 0.5208
0.7646 0.7024 0.5342
0.2018 0.8092 0.4525
0.2474 0.1572 0.2860
0.4041 0.6321 0.3073
0.5959 0.3679 0.6927
0.7526 0.8428 0.7140
0.7982 0.1908 0.5475
0.1096 0.6970 0.9185
0.2011 0.1388 0.8778
0.7989 0.8612 0.1222
0.8904 0.3030 0.0815
```

***

Structure and theoretical XRD peak list of Nd2GeAu (a crystal structure in OQMD, relaxed with PBE; Cu Kα X-rays).

Peak list (12 most intense, 2θ from 10° to 80°, low angle first)
| 2θ (°) | Rel. int. |
| --- | --- |
| 15.7 | 15.1 |
| 30.3 | 100.0 |
| 31.8 | 28.8 |
| 32.0 | 24.0 |
| 37.8 | 21.9 |
| 38.0 | 71.1 |
| 40.5 | 26.2 |
| 43.1 | 22.0 |
| 52.4 | 14.2 |
| 60.6 | 16.0 |
| 70.1 | 17.5 |
| 76.5 | 13.9 |

Structural model:
```
Nd2GeAu
1.0
4.4529 0.0000 0.0000
0.0000 2.0991 5.6289
0.0000 -2.0991 5.6289
Nd Ge Au
2 1 1
Direct
0.0000 0.0000 0.0000
0.5000 0.2752 0.2752
0.5000 0.5494 0.5494
0.0000 0.7187 0.7187
```

***

Structure and theoretical XRD peak list of Dy2YLu4Ni2Te2 (a crystal structure in OQMD, relaxed with PBE; Cu Kα X-rays).

Peak list (12 most intense, 2θ from 10° to 80°, low angle first)
| 2θ (°) | Rel. int. |
| --- | --- |
| 25.2 | 24.8 |
| 30.7 | 43.1 |
| 33.4 | 80.3 |
| 34.4 | 100.0 |
| 34.9 | 79.7 |
| 37.0 | 17.6 |
| 38.9 | 18.8 |
| 45.5 | 17.6 |
| 47.7 | 28.4 |
| 59.4 | 30.9 |
| 62.6 | 16.8 |
| 66.1 | 17.8 |

Structural model:
```
Dy2YLu4Ni2Te2
1.0
-1.9074 7.7020 4.7253
1.9074 -7.7020 4.7253
1.9074 7.7020 -4.7253
Dy Y Lu Ni Te
2 1 4 2 2
Direct
0.1858 0.0000 0.1858
0.8142 0.0000 0.8142
0.8780 0.3780 0.5000
0.1633 0.7966 0.3667
0.4299 0.7966 0.6333
0.5011 0.6485 0.8526
0.7958 0.6485 0.1474
0.0438 0.3051 0.7387
0.5663 0.3051 0.2613
0.1468 0.1468 0.0000
0.5403 0.0403 0.5000
```

***

Structure and theoretical XRD peak list of Hf3CuN5 (a crystal structure in OQMD, relaxed with PBE; Cu Kα X-rays).

Peak list (12 most intense, 2θ from 10° to 80°, low angle first)
| 2θ (°) | Rel. int. |
| --- | --- |
| 17.6 | 24.7 |
| 21.6 | 68.7 |
| 28.0 | 52.3 |
| 35.7 | 100.0 |
| 37.9 | 33.1 |
| 42.1 | 87.3 |
| 43.9 | 18.7 |
| 53.1 | 18.7 |
| 57.9 | 56.1 |
| 64.2 | 22.4 |
| 68.6 | 18.4 |
| 79.8 | 13.7 |

Structural model:
```
Hf3CuN5
1.0
5.8042 0.0000 0.0000
-2.9021 5.0265 0.0000
0.0000 0.0000 4.1208
Hf Cu N
3 1 5
Direct
0.0000 0.5000 0.0000
0.5000 0.0000 0.0000
0.5000 0.5000 0.0000
0.0000 0.0000 0.5000
0.0000 0.0000 0.0000
0.3333 0.6667 0.3296
0.3333 0.6667 0.6704
0.6667 0.3333 0.3296
0.6667 0.3333 0.6704
```

***

Structure and theoretical XRD peak list of Sn5Pd13 (a crystal structure in OQMD, relaxed with PBE; Cu Kα X-rays).

Peak list (12 most intense, 2θ from 10° to 80°, low angle first)
| 2θ (°) | Rel. int. |
| --- | --- |
| 12.5 | 7.7 |
| 37.0 | 24.4 |
| 38.9 | 100.0 |
| 40.9 | 15.8 |
| 45.0 | 16.4 |
| 45.3 | 32.4 |
| 45.4 | 12.7 |
| 65.7 | 21.1 |
| 66.0 | 14.6 |
| 78.1 | 5.5 |
| 78.9 | 13.0 |
| 79.3 | 25.0 |

Structural model:
```
Sn5Pd13
1.0
4.0068 0.0000 0.0000
0.0000 4.0068 0.0000
0.0000 0.0000 28.2131
Sn Pd
5 13
Direct
0.0000 0.0000 0.0000
0.0000 0.0000 0.1419
0.0000 0.0000 0.2858
0.0000 0.0000 0.7142
0.0000 0.0000 0.8581
0.0000 0.5000 0.0716
0.0000 0.5000 0.2154
0.0000 0.5000 0.7846
0.0000 0.5000 0.9284
0.5000 0.0000 0.0716
0.5000 0.0000 0.2154
0.5000 0.0000 0.7846
0.5000 0.0000 0.9284
0.5000 0.5000 0.0000
0.5000 0.5000 0.1442
0.5000 0.5000 0.2869
0.5000 0.5000 0.7131
0.5000 0.5000 0.8558
```

***

Structure and theoretical XRD peak list of Sc2Ta4Tl3N3 (a crystal structure in OQMD, relaxed with PBE; Cu Kα X-rays).

Peak list (12 most intense, 2θ from 10° to 80°, low angle first)
| 2θ (°) | Rel. int. |
| --- | --- |
| 18.0 | 25.9 |
| 31.2 | 24.1 |
| 31.4 | 44.7 |
| 36.8 | 98.7 |
| 36.9 | 100.0 |
| 37.1 | 97.3 |
| 38.8 | 51.8 |
| 50.6 | 28.4 |
| 55.6 | 42.2 |
| 56.1 | 20.7 |
| 68.9 | 27.6 |
| 70.0 | 26.9 |

Structural model:
```
Sc2Ta4Tl3N3
1.0
4.9207 -2.8685 0.0000
4.9207 2.8685 0.0000
-3.1984 0.0000 13.9323
Sc Ta Tl N
4 8 6 6
Direct
0.0289 0.8646 0.5875
0.1354 0.9711 0.9125
0.8646 0.0289 0.0875
0.9711 0.1354 0.4125
0.1940 0.3599 0.0729
0.3131 0.4701 0.4270
0.3599 0.1940 0.5729
0.4701 0.3131 0.9270
0.5299 0.6869 0.0730
0.6401 0.8060 0.4271
0.6869 0.5299 0.5730
0.8060 0.6401 0.9271
0.0816 0.2709 0.7497
0.2709 0.0816 0.2497
0.4351 0.5649 0.7500
0.5649 0.4351 0.2500
0.7291 0.9184 0.7503
0.9184 0.7291 0.2503
0.0000 0.5000 0.5000
0.1581 0.6831 0.0000
0.3169 0.8419 0.5000
0.5000 0.0000 0.0000
0.6831 0.1581 0.5000
0.8419 0.3169 0.0000
```

***

Structure and theoretical XRD peak list of YHo2Co2B2P3 (a crystal structure in OQMD, relaxed with PBE; Cu Kα X-rays).

Peak list (12 most intense, 2θ from 10° to 80°, low angle first)
| 2θ (°) | Rel. int. |
| --- | --- |
| 26.1 | 89.6 |
| 32.8 | 100.0 |
| 33.9 | 18.3 |
| 36.8 | 60.3 |
| 37.0 | 24.2 |
| 41.4 | 56.3 |
| 47.1 | 68.9 |
| 51.8 | 19.4 |
| 54.7 | 25.0 |
| 58.6 | 36.0 |
| 68.9 | 17.3 |
| 69.4 | 21.6 |

Structural model:
```
YHo2Co2B2P3
1.0
-1.9286 1.9286 10.9275
1.9286 -1.9286 10.9275
1.9286 1.9286 -10.9275
Y Ho Co B P
1 2 2 2 3
Direct
0.0000 0.0000 0.0000
0.3619 0.3619 0.0000
0.6381 0.6381 0.0000
0.2500 0.7500 0.5000
0.7500 0.2500 0.5000
0.2150 0.2150 0.0000
0.7850 0.7850 0.0000
0.1249 0.1249 0.0000
0.5000 0.5000 0.0000
0.8751 0.8751 0.0000
```

***

Structure and theoretical XRD peak list of La2PdPtN2 (a crystal structure in OQMD, relaxed with PBE; Cu Kα X-rays).

Peak list (12 most intense, 2θ from 10° to 80°, low angle first)
| 2θ (°) | Rel. int. |
| --- | --- |
| 12.0 | 6.3 |
| 25.8 | 10.0 |
| 28.5 | 52.1 |
| 35.6 | 100.0 |
| 45.2 | 15.1 |
| 45.5 | 45.8 |
| 49.4 | 12.0 |
| 54.6 | 9.1 |
| 59.1 | 22.8 |
| 69.4 | 25.4 |
| 73.7 | 7.6 |
| 77.6 | 20.4 |

Structural model:
```
La2PdPtN2
1.0
3.9880 0.0000 0.0000
-1.9940 3.4537 0.0000
0.0000 0.0000 7.3838
La Pd Pt N
2 1 1 2
Direct
0.0000 0.0000 0.2475
0.0000 0.0000 0.7525
0.3333 0.6667 0.0000
0.6667 0.3333 0.5000
0.3333 0.6667 0.5000
0.6667 0.3333 0.0000
```

***

Structure and theoretical XRD peak list of RbInPt (a crystal structure in OQMD, relaxed with PBE; Cu Kα X-rays).

Peak list (12 most intense, 2θ from 10° to 80°, low angle first)
| 2θ (°) | Rel. int. |
| --- | --- |
| 21.4 | 37.0 |
| 24.8 | 20.6 |
| 35.3 | 100.0 |
| 41.7 | 20.1 |
| 43.6 | 6.2 |
| 50.8 | 17.7 |
| 55.7 | 8.6 |
| 57.3 | 8.5 |
| 63.4 | 36.2 |
| 67.7 | 6.4 |
| 74.7 | 11.2 |
| 78.7 | 6.3 |

Structural model:
```
RbInPt
1.0
0.0000 3.5952 3.5952
3.5952 0.0000 3.5952
3.5952 3.5952 0.0000
Rb In Pt
1 1 1
Direct
0.0000 0.0000 0.0000
0.7500 0.7500 0.7500
0.5000 0.5000 0.5000
```